1.
Simulated X-ray powder pattern
Compound: Sr3In3Hg8
Radiation: a wavelength of 1.5418 Å
Structure: a PBE-relaxed structure
Neutral-atom scattering factors, no anomalous dispersion.

Crystal structure
Unit cell a=9.419 b=9.419 c=9.419 alpha=149.20 beta=110.91 gamma=77.53
Positions (direct):
Sr 0.000 0.000 0.000
Sr 0.294 0.294 0.000
Sr 0.706 0.706 0.000
In 0.312 0.500 0.812
In 0.500 0.000 0.500
In 0.688 0.500 0.188
Hg 0.022 0.658 0.365
Hg 0.145 0.859 0.286
Hg 0.293 0.658 0.635
Hg 0.427 0.141 0.286
Hg 0.573 0.859 0.714
Hg 0.707 0.342 0.365
Hg 0.855 0.141 0.714
Hg 0.978 0.342 0.635

Main lines, by angle (2θ = 10–90°):
| 2theta | I_rel |
| --- | --- |
| 16.60 | 35.3 |
| 29.52 | 36.3 |
| 30.54 | 100.0 |
| 30.82 | 55.3 |
| 31.36 | 37.9 |
| 33.21 | 43.5 |
| 35.91 | 74.6 |
| 36.71 | 40.0 |
| 38.71 | 38.7 |
| 39.59 | 54.5 |



2.
Simulated X-ray powder pattern
Compound: Ce4NdP5
Radiation: a wavelength of 1.5418 Å
Structure: a PBE-relaxed structure
Neutral-atom scattering factors, no anomalous dispersion.

Crystal structure
Unit cell a=10.864 b=10.864 c=10.864 alpha=158.22 beta=148.99 gamma=38.21
Positions (direct):
Ce 0.100 0.100 0.000
Ce 0.300 0.300 0.000
Ce 0.700 0.700 0.000
Ce 0.900 0.900 0.000
Nd 0.500 0.500 0.000
P 0.000 0.500 0.500
P 0.200 0.700 0.500
P 0.397 0.897 0.500
P 0.603 0.103 0.500
P 0.800 0.300 0.500

Main lines, by angle (2θ = 10–90°):
| 2theta | I_rel |
| --- | --- |
| 26.59 | 77.6 |
| 30.80 | 100.0 |
| 44.11 | 73.0 |
| 52.25 | 38.1 |
| 54.76 | 25.5 |
| 64.15 | 11.8 |
| 70.72 | 15.3 |
| 72.84 | 32.5 |
| 81.14 | 24.5 |
| 87.23 | 11.9 |



3.
Simulated X-ray powder pattern
Compound: La2HgO
Radiation: a wavelength of 1.5418 Å
Structure: a PBE-relaxed structure
Neutral-atom scattering factors, no anomalous dispersion.

Crystal structure
Unit cell a=6.804 b=6.757 c=9.096 alpha=90.00 beta=97.37 gamma=90.00
Positions (direct):
La 0.000 0.249 0.000
La 0.000 0.751 0.000
La 0.210 0.500 0.657
La 0.290 0.000 0.343
La 0.500 0.251 0.000
La 0.500 0.749 0.000
La 0.710 0.000 0.657
La 0.790 0.500 0.343
Hg 0.199 0.000 0.697
Hg 0.301 0.500 0.303
Hg 0.699 0.500 0.697
Hg 0.801 0.000 0.303
O 0.235 0.500 0.919
O 0.265 0.000 0.081
O 0.735 0.000 0.919
O 0.765 0.500 0.081

Main lines, by angle (2θ = 10–90°):
| 2theta | I_rel |
| --- | --- |
| 26.39 | 49.2 |
| 28.20 | 78.8 |
| 29.43 | 86.3 |
| 29.71 | 97.4 |
| 31.00 | 84.1 |
| 33.13 | 86.6 |
| 37.68 | 100.0 |
| 46.36 | 34.5 |
| 50.95 | 43.9 |
| 54.32 | 29.4 |



4.
Simulated X-ray powder pattern
Compound: Pm2Pr2Te2Se3
Radiation: a wavelength of 1.5418 Å
Structure: a PBE-relaxed structure
Neutral-atom scattering factors, no anomalous dispersion.

Crystal structure
Unit cell a=8.992 b=8.992 c=8.992 alpha=142.63 beta=142.63 gamma=53.88
Positions (direct):
Pm 0.000 0.500 0.500
Pm 0.500 0.000 0.500
Pr 0.196 0.196 0.000
Pr 0.804 0.804 0.000
Te 0.395 0.395 0.000
Te 0.605 0.605 0.000
Se 0.000 0.000 0.000
Se 0.250 0.750 0.500
Se 0.750 0.250 0.500

Main lines, by angle (2θ = 10–90°):
| 2theta | I_rel |
| --- | --- |
| 22.18 | 14.8 |
| 31.05 | 100.0 |
| 31.31 | 48.3 |
| 31.94 | 60.1 |
| 44.48 | 36.9 |
| 45.14 | 45.9 |
| 55.40 | 19.0 |
| 55.83 | 17.6 |
| 65.25 | 18.5 |
| 73.52 | 16.5 |



5.
Simulated X-ray powder pattern
Compound: K2Pu2I2Cl5
Radiation: a wavelength of 1.5418 Å
Structure: a PBE-relaxed structure
Neutral-atom scattering factors, no anomalous dispersion.

Crystal structure
Unit cell a=15.251 b=15.251 c=15.251 alpha=159.25 beta=159.25 gamma=29.51
Positions (direct):
K 0.177 0.177 0.000
K 0.823 0.823 0.000
Pu 0.407 0.407 0.000
Pu 0.593 0.593 0.000
I 0.299 0.299 0.000
I 0.701 0.701 0.000
Cl 0.103 0.603 0.500
Cl 0.397 0.897 0.500
Cl 0.500 0.500 0.000
Cl 0.603 0.103 0.500
Cl 0.897 0.397 0.500

Main lines, by angle (2θ = 10–90°):
| 2theta | I_rel |
| --- | --- |
| 12.00 | 28.0 |
| 16.41 | 100.0 |
| 22.90 | 50.7 |
| 26.66 | 31.0 |
| 30.30 | 19.7 |
| 32.60 | 42.5 |
| 36.71 | 27.9 |
| 38.32 | 19.0 |
| 42.60 | 18.1 |
| 45.10 | 25.8 |



6.
Simulated X-ray powder pattern
Compound: SrPm4Pb3O12
Radiation: a wavelength of 1.5418 Å
Structure: a PBE-relaxed structure
Neutral-atom scattering factors, no anomalous dispersion.

Crystal structure
Unit cell a=7.595 b=7.595 c=7.595 alpha=109.47 beta=109.47 gamma=109.47
Positions (direct):
Sr 0.000 0.000 0.000
Pm 0.000 0.000 0.500
Pm 0.000 0.500 0.000
Pm 0.500 0.000 0.000
Pm 0.500 0.500 0.500
Pb 0.000 0.500 0.500
Pb 0.500 0.000 0.500
Pb 0.500 0.500 0.000
O 0.136 0.307 0.829
O 0.171 0.478 0.307
O 0.171 0.864 0.693
O 0.307 0.171 0.478
O 0.307 0.829 0.136
O 0.478 0.307 0.171
O 0.522 0.693 0.829
O 0.693 0.171 0.864
O 0.693 0.829 0.522
O 0.829 0.136 0.307
O 0.829 0.522 0.693
O 0.864 0.693 0.171

Main lines, by angle (2θ = 10–90°):
| 2theta | I_rel |
| --- | --- |
| 14.28 | 4.5 |
| 24.87 | 3.7 |
| 28.79 | 100.0 |
| 41.17 | 22.9 |
| 51.02 | 48.7 |
| 59.64 | 14.1 |
| 67.55 | 19.4 |
| 75.04 | 4.9 |
| 82.27 | 23.1 |
| 89.37 | 2.4 |



7.
Simulated X-ray powder pattern
Compound: Al3Ag2
Radiation: a wavelength of 1.5418 Å
Structure: a PBE-relaxed structure
Neutral-atom scattering factors, no anomalous dispersion.

Crystal structure
Unit cell a=3.100 b=3.931 c=7.301 alpha=76.58 beta=77.79 gamma=89.91
Positions (direct):
Al 0.000 0.000 0.000
Al 0.401 0.399 0.199
Al 0.599 0.601 0.801
Ag 0.194 0.198 0.611
Ag 0.806 0.802 0.389

Main lines, by angle (2θ = 10–90°):
| 2theta | I_rel |
| --- | --- |
| 12.77 | 100.0 |
| 29.25 | 20.4 |
| 30.44 | 19.9 |
| 34.85 | 26.7 |
| 36.94 | 92.1 |
| 38.94 | 18.7 |
| 39.02 | 38.7 |
| 40.56 | 34.2 |
| 43.81 | 54.7 |
| 46.22 | 23.8 |



8.
Simulated X-ray powder pattern
Compound: La3Al9Ga2
Radiation: a wavelength of 1.5418 Å
Structure: a PBE-relaxed structure
Neutral-atom scattering factors, no anomalous dispersion.

Crystal structure
Unit cell a=8.588 b=8.588 c=8.588 alpha=150.01 beta=107.40 gamma=80.49
Positions (direct):
La 0.000 0.000 0.000
La 0.318 0.318 0.000
La 0.682 0.682 0.000
Al 0.033 0.664 0.369
Al 0.132 0.859 0.273
Al 0.295 0.664 0.631
Al 0.413 0.141 0.273
Al 0.500 0.000 0.500
Al 0.587 0.859 0.727
Al 0.705 0.336 0.369
Al 0.868 0.141 0.727
Al 0.967 0.336 0.631
Ga 0.282 0.500 0.782
Ga 0.718 0.500 0.218

Main lines, by angle (2θ = 10–90°):
| 2theta | I_rel |
| --- | --- |
| 21.83 | 36.9 |
| 22.14 | 32.7 |
| 33.24 | 22.9 |
| 33.46 | 30.9 |
| 33.74 | 100.0 |
| 35.31 | 15.8 |
| 40.60 | 23.0 |
| 41.32 | 17.1 |
| 53.59 | 16.0 |
| 62.35 | 17.4 |



9.
Simulated X-ray powder pattern
Compound: Rb2RhBr5
Radiation: a wavelength of 1.5418 Å
Structure: a PBE-relaxed structure
Neutral-atom scattering factors, no anomalous dispersion.

Crystal structure
Unit cell a=7.800 b=7.800 c=9.663 alpha=90.00 beta=90.00 gamma=90.00
Positions (direct):
Rb 0.000 0.500 0.000
Rb 0.000 0.500 0.500
Rb 0.500 0.000 0.000
Rb 0.500 0.000 0.500
Rh 0.000 0.000 0.267
Rh 0.500 0.500 0.767
Br 0.000 0.000 0.515
Br 0.226 0.226 0.249
Br 0.226 0.774 0.249
Br 0.274 0.274 0.749
Br 0.274 0.726 0.749
Br 0.500 0.500 0.015
Br 0.726 0.274 0.749
Br 0.726 0.726 0.749
Br 0.774 0.226 0.249
Br 0.774 0.774 0.249

Main lines, by angle (2θ = 10–90°):
| 2theta | I_rel |
| --- | --- |
| 14.59 | 77.0 |
| 24.49 | 30.8 |
| 29.43 | 100.0 |
| 32.47 | 77.7 |
| 37.22 | 28.0 |
| 42.84 | 20.9 |
| 46.58 | 25.2 |
| 50.21 | 42.6 |
| 56.06 | 23.9 |
| 61.07 | 21.4 |



10.
Simulated X-ray powder pattern
Compound: LaBeRuN
Radiation: a wavelength of 1.5418 Å
Structure: a PBE-relaxed structure
Neutral-atom scattering factors, no anomalous dispersion.

Crystal structure
Unit cell a=3.736 b=3.736 c=8.587 alpha=90.00 beta=90.00 gamma=90.00
Positions (direct):
La 0.250 0.250 0.158
La 0.750 0.750 0.842
Be 0.250 0.250 0.679
Be 0.750 0.750 0.321
Ru 0.250 0.750 0.500
Ru 0.750 0.250 0.500
N 0.250 0.250 0.866
N 0.750 0.750 0.134

Main lines, by angle (2θ = 10–90°):
| 2theta | I_rel |
| --- | --- |
| 26.01 | 63.1 |
| 31.25 | 61.9 |
| 31.75 | 53.7 |
| 35.55 | 100.0 |
| 40.07 | 56.3 |
| 48.75 | 39.5 |
| 55.12 | 35.3 |
| 59.05 | 38.8 |
| 59.35 | 18.8 |
| 82.39 | 16.7 |



11.
Simulated X-ray powder pattern
Compound: SmFe7B3
Radiation: a wavelength of 1.5418 Å
Structure: a PBE-relaxed structure
Neutral-atom scattering factors, no anomalous dispersion.

Crystal structure
Unit cell a=7.342 b=7.342 c=7.342 alpha=54.48 beta=54.48 gamma=54.48
Positions (direct):
Sm 0.000 0.000 0.000
Sm 0.500 0.500 0.500
Fe 0.079 0.852 0.652
Fe 0.148 0.348 0.921
Fe 0.152 0.352 0.579
Fe 0.250 0.250 0.250
Fe 0.348 0.921 0.148
Fe 0.352 0.579 0.152
Fe 0.421 0.848 0.648
Fe 0.579 0.152 0.352
Fe 0.648 0.421 0.848
Fe 0.652 0.079 0.852
Fe 0.750 0.750 0.750
Fe 0.848 0.648 0.421
Fe 0.852 0.652 0.079
Fe 0.921 0.148 0.348
B 0.074 0.750 0.426
B 0.250 0.574 0.926
B 0.426 0.074 0.750
B 0.574 0.926 0.250
B 0.750 0.426 0.074
B 0.926 0.250 0.574

Main lines, by angle (2θ = 10–90°):
| 2theta | I_rel |
| --- | --- |
| 26.53 | 34.8 |
| 28.65 | 27.5 |
| 36.37 | 62.0 |
| 41.33 | 43.0 |
| 41.64 | 60.5 |
| 42.20 | 18.1 |
| 45.58 | 100.0 |
| 47.98 | 36.3 |
| 51.73 | 19.4 |
| 74.74 | 26.6 |



12.
Simulated X-ray powder pattern
Compound: Hf2Ti3Ge4
Radiation: a wavelength of 1.5418 Å
Structure: a PBE-relaxed structure
Neutral-atom scattering factors, no anomalous dispersion.

Crystal structure
Unit cell a=6.939 b=6.926 c=6.778 alpha=90.00 beta=110.01 gamma=90.00
Positions (direct):
Hf 0.188 0.172 0.057
Hf 0.188 0.328 0.557
Hf 0.812 0.672 0.443
Hf 0.812 0.828 0.943
Ti 0.250 0.674 0.244
Ti 0.250 0.826 0.744
Ti 0.500 0.000 0.500
Ti 0.500 0.500 0.000
Ti 0.750 0.174 0.256
Ti 0.750 0.326 0.756
Ge 0.082 0.537 0.848
Ge 0.082 0.963 0.348
Ge 0.490 0.133 0.863
Ge 0.490 0.367 0.363
Ge 0.510 0.633 0.637
Ge 0.510 0.867 0.137
Ge 0.918 0.037 0.652
Ge 0.918 0.463 0.152

Main lines, by angle (2θ = 10–90°):
| 2theta | I_rel |
| --- | --- |
| 18.69 | 50.5 |
| 30.31 | 27.4 |
| 34.48 | 100.0 |
| 36.97 | 67.1 |
| 37.35 | 48.6 |
| 37.73 | 67.4 |
| 37.90 | 21.3 |
| 41.53 | 53.1 |
| 41.61 | 50.7 |
| 42.07 | 42.0 |



13.
Simulated X-ray powder pattern
Compound: Li2NdBiS
Radiation: a wavelength of 1.5418 Å
Structure: a PBE-relaxed structure
Neutral-atom scattering factors, no anomalous dispersion.

Crystal structure
Unit cell a=4.644 b=4.644 c=5.739 alpha=90.00 beta=90.00 gamma=90.00
Positions (direct):
Li 0.000 0.500 0.000
Li 0.500 0.000 0.000
Nd 0.000 0.000 0.553
Bi 0.500 0.500 0.605
S 0.000 0.000 0.069

Main lines, by angle (2θ = 10–90°):
| 2theta | I_rel |
| --- | --- |
| 15.44 | 100.0 |
| 27.15 | 84.1 |
| 31.17 | 29.1 |
| 31.38 | 85.8 |
| 38.78 | 36.5 |
| 41.80 | 49.5 |
| 41.97 | 35.6 |
| 50.57 | 30.2 |
| 65.62 | 21.8 |
| 72.27 | 20.0 |